This entry pairs a crystal structure of Hg2Pt9 with its computed X-ray powder pattern. Radiation: Cu Kα, 1.54184 Å. Structure: a crystal structure in OQMD, relaxed with PBE.
Kinematic intensities with the Lorentz-polarization factor, no thermal factor.

Crystal structure
```
data_Hg2Pt9
_chemical_formula_sum 'Hg2 Pt9'
_cell_length_a 2.830
_cell_length_b 2.830
_cell_length_c 37.351
_cell_angle_alpha 90.00
_cell_angle_beta 90.00
_cell_angle_gamma 120.00
_symmetry_space_group_name_H-M 'P 1'
_symmetry_Int_Tables_number 1
_symmetry_space_group_name_Hall 'P 1'
loop_
_atom_site_label
_atom_site_fract_x
_atom_site_fract_y
_atom_site_fract_z
Hg1 0.333 0.667 0.311
Hg2 0.667 0.333 0.689
Pt1 0.000 0.000 0.000
Pt2 0.000 0.000 0.180
Pt3 0.000 0.000 0.820
Pt4 0.333 0.667 0.120
Pt5 0.333 0.667 0.758
Pt6 0.333 0.667 0.940
Pt7 0.667 0.333 0.060
Pt8 0.667 0.333 0.242
Pt9 0.667 0.333 0.880
```

Top 10 peaks for 2θ = 10–80°, low angle first:
2θ 38.64, intensity 1000, hkl 0 0 16
2θ 39.51, intensity 608, hkl 1 0 6
2θ 41.08, intensity 143, hkl 0 0 17
2θ 44.20, intensity 157, hkl 0 1 10
2θ 45.65, intensity 605, hkl 0 1 11
2θ 66.03, intensity 289, hkl 1 1 0
2θ 67.06, intensity 170, hkl 1 0 22
2θ 79.16, intensity 293, hkl 1 1 16
2θ 79.57, intensity 90, hkl 0 1 27
2θ 79.75, intensity 82, hkl 0 2 6

This entry pairs a crystal structure of BaLi3Sm2Pb3 with its computed X-ray powder pattern. Radiation: Cu Kα, 1.54184 Å. Structure: a crystal structure in OQMD, relaxed with PBE.
Kinematic intensities with the Lorentz-polarization factor, no thermal factor.

Crystal structure
```
data_BaLi3Sm2Pb3
_chemical_formula_sum 'Ba1 Li3 Sm2 Pb3'
_cell_length_a 4.899
_cell_length_b 4.899
_cell_length_c 12.028
_cell_angle_alpha 90.00
_cell_angle_beta 90.00
_cell_angle_gamma 120.00
_symmetry_space_group_name_H-M 'P 1'
_symmetry_Int_Tables_number 1
_symmetry_space_group_name_Hall 'P 1'
loop_
_atom_site_label
_atom_site_fract_x
_atom_site_fract_y
_atom_site_fract_z
Ba1 0.000 0.000 0.000
Li1 0.333 0.667 0.500
Li2 0.667 0.333 0.216
Li3 0.667 0.333 0.784
Sm1 0.000 0.000 0.343
Sm2 0.000 0.000 0.657
Pb1 0.333 0.667 0.207
Pb2 0.333 0.667 0.793
Pb3 0.667 0.333 0.500
```

Top 10 peaks for 2θ = 10–80°, low angle first:
2θ 22.22, intensity 331, hkl 1 0 1
2θ 25.70, intensity 744, hkl 1 0 2
2θ 30.68, intensity 1000, hkl 1 0 3
2θ 36.68, intensity 848, hkl 1 1 0
2θ 43.25, intensity 289, hkl 1 0 5
2θ 45.31, intensity 219, hkl 0 0 6
2θ 48.56, intensity 282, hkl 2 0 3
2θ 59.64, intensity 285, hkl 1 1 6
2θ 62.37, intensity 268, hkl 2 1 3
2θ 66.06, intensity 175, hkl 3 0 0

This entry pairs a crystal structure of Hf4CuNiP2 with its computed X-ray powder pattern. Radiation: Cu Kα, 1.54184 Å. Structure: a crystal structure in OQMD, relaxed with PBE.
Kinematic intensities with the Lorentz-polarization factor, no thermal factor.

Crystal structure
```
data_Hf4CuNiP2
_chemical_formula_sum 'Hf4 Cu1 Ni1 P2'
_cell_length_a 5.203
_cell_length_b 3.596
_cell_length_c 7.448
_cell_angle_alpha 90.00
_cell_angle_beta 110.10
_cell_angle_gamma 90.00
_symmetry_space_group_name_H-M 'P 1'
_symmetry_Int_Tables_number 1
_symmetry_space_group_name_Hall 'P 1'
loop_
_atom_site_label
_atom_site_fract_x
_atom_site_fract_y
_atom_site_fract_z
Hf1 0.000 0.000 0.000
Hf2 0.054 0.500 0.637
Hf3 0.493 0.000 0.489
Hf4 0.559 0.500 0.144
Cu1 0.417 0.000 0.855
Ni1 0.131 0.500 0.279
P1 0.642 0.500 0.775
P2 0.915 0.000 0.358
```

Top 10 peaks for 2θ = 10–80°, low angle first:
2θ 30.92, intensity 482, hkl 1 1 -1
2θ 35.86, intensity 1000, hkl 0 1 2
2θ 36.56, intensity 262, hkl 1 0 -3
2θ 36.79, intensity 267, hkl 2 0 0
2θ 36.94, intensity 240, hkl 2 0 -2
2θ 44.65, intensity 133, hkl 1 1 -3
2θ 44.98, intensity 189, hkl 2 1 -2
2θ 48.71, intensity 200, hkl 1 0 3
2θ 50.78, intensity 179, hkl 0 2 0
2θ 64.38, intensity 201, hkl 2 2 0